The following is a simulated XRD peak list of Ca2HfMnO6. It was derived from a crystal structure in Alexandria, relaxed with PBE+U, using Cu Kα (λ = 1.5418 Å).
No peak broadening, texture or thermal motion is included.

Top 12 peaks for 2θ = 5–70°, low angle first:
index	d_spacing	2theta	I_rel
0 1 1	4.530	19.60	40
1 0 -2	4.461	19.90	21
1 1 -1	3.898	22.81	100
0 2 0	2.785	32.14	36
1 1 1	2.761	32.43	72
1 1 -3	2.750	32.56	71
2 0 -2	2.733	32.77	34
1 0 -4	2.342	38.44	25
2 2 -2	1.951	46.56	43
0 0 4	1.946	46.67	22
1 3 -3	1.602	57.52	26
3 1 -5	1.580	58.43	24

Structural model:
a b c (Å): 5.4652 5.5705 9.4868
angles (deg): 90.00 124.85 90.00
Fractional coordinates of all 20 atoms:
Ca1 0.2383 0.0445 0.2490
Ca2 0.2383 0.4555 0.7490
Ca3 0.7617 0.5445 0.2510
Ca4 0.7617 0.9555 0.7510
Hf1 0.5000 0.0000 0.0000
Hf2 0.5000 0.5000 0.5000
Mn1 0.0000 0.0000 0.5000
Mn2 0.0000 0.5000 0.0000
O1 0.1530 0.2159 0.9556
O2 0.1530 0.2841 0.4556
O3 0.2395 0.7006 0.9555
O4 0.2395 0.7994 0.4555
O5 0.3258 0.0242 0.7410
O6 0.3258 0.4758 0.2410
O7 0.6742 0.5242 0.7590
O8 0.6742 0.9758 0.2590
O9 0.7605 0.2006 0.5445
O10 0.7605 0.2994 0.0445
O11 0.8470 0.7159 0.5444
O12 0.8470 0.7841 0.0444